No. 1
For RbHgCl2F, a GGA-PBE-relaxed structure gives the simulated powder diffractogram in this record (Cu Kα (weighted mean of Kα1 and Kα2)).
Kinematic intensities with the Lorentz-polarization factor, no thermal factor.

Top 10 peaks for 10° ≤ 2θ ≤ 90°, by angle:
2θ (°)	intensity
12.4	64
14.1	92
21.1	60
23.3	56
24.2	69
24.5	65
29.0	76
29.4	100
29.5	62
50.4	61

Crystal structure
```
RbHgCl2F
1.0
7.3919 0.0000 0.0000
0.0000 4.5234 0.0000
-2.2151 0.0000 8.4165
Rb Hg Cl F
2 2 4 2
Cartesian
0.2557 1.1308 2.7808
4.9211 3.3925 5.6357
1.0667 1.1308 6.6978
4.1101 3.3925 1.7186
2.0900 3.3925 0.3783
1.4949 3.3925 5.1782
3.6819 1.1308 3.2383
3.0868 1.1308 8.0382
-0.9228 1.1308 5.8763
6.0996 3.3925 2.5401
```


No. 2
For CaLaPm4S8, a GGA-PBE-relaxed structure gives the simulated powder diffractogram in this record (Cu Kα (weighted mean of Kα1 and Kα2)).
Kinematic intensities with the Lorentz-polarization factor, no thermal factor.

Top 10 peaks for 10° ≤ 2θ ≤ 90°, by angle:
2θ (°)	intensity
13.1	27
24.9	32
25.1	100
26.3	17
30.4	49
39.8	24
39.9	20
43.3	44
43.7	43
60.6	15

Crystal structure
```
CaLaPm4S8
1.0
4.1468 2.3942 6.8614
-4.1468 2.3942 6.8614
0.0000 -4.7883 6.8614
Ca La Pm S
1 1 4 8
Cartesian
0.0000 0.0000 0.0000
0.0000 0.0000 12.9079
-2.1034 -1.2144 9.4316
0.0000 0.0000 5.1662
2.1034 -1.2144 9.4316
0.0000 2.4288 9.4316
0.0000 -2.2600 11.0709
-1.9572 1.1300 11.0709
0.0000 0.0000 7.8931
-1.9428 -1.1216 14.6879
1.9572 1.1300 11.0709
0.0000 0.0000 17.8400
1.9428 -1.1217 14.6879
0.0000 2.2433 14.6879
```